Record 1
Diffraction record for MoP2O7. The X-ray diffraction stick pattern is computed, not measured: it uses the GGA+U geometry in the Materials Project and Cu Kα (λ = 1.5418 Å).

Most intense lines, 2θ = 10–90°, by intensity:
index, Position (°2θ), Rel. int.
1 0 1, 15.6, 100.0
0 1 0, 13.7, 50.1
2 0 1, 27.7, 49.8
0 0 2, 27.4, 46.1
0 2 -1, 30.8, 45.2
0 2 1, 30.9, 37.8
1 0 0, 15.1, 37.4
0 1 1, 19.4, 37.2

Crystal structure
abc: 6.4871 6.5088 7.1522
angles: 87.89 65.58 84.19
Fractional positions:
Mo1 0.0900 0.1505 0.2892
Mo2 0.9100 0.8495 0.7108
P1 0.2348 0.6357 0.2478
P2 0.3386 0.8853 0.8540
P3 0.6614 0.1147 0.1460
P4 0.7652 0.3643 0.7522
O1 0.0638 0.8313 0.3708
O2 0.0848 0.4567 0.2705
O3 0.2169 0.8489 0.7164
O4 0.2397 0.0858 0.9779
O5 0.3008 0.6985 0.0107
O6 0.4063 0.1172 0.2845
O7 0.4276 0.5914 0.3049
O8 0.5724 0.4086 0.6951
O9 0.5937 0.8828 0.7155
O10 0.6992 0.3015 0.9893
O11 0.7603 0.9142 0.0221
O12 0.7831 0.1511 0.2836
O13 0.9152 0.5433 0.7295
O14 0.9362 0.1687 0.6292

---

Record 2
Diffraction record for MoP2O7. The X-ray diffraction stick pattern is computed, not measured: it uses the GGA+U geometry in the Materials Project and Cu Kα (λ = 1.5418 Å).

Most intense lines, 2θ = 10–90°, by intensity:
index, Position (°2θ), Rel. int.
1 1 0, 17.2, 100.0
0 2 2, 29.0, 83.5
1 1 -2, 22.3, 34.5
2 0 -2, 27.6, 30.0
0 1 1, 14.4, 26.7
2 2 0, 34.7, 15.5
1 3 2, 42.7, 15.3
1 2 1, 28.8, 13.6

Crystal structure
abc: 6.9967 8.2549 9.7726
angles: 90.00 108.82 90.00
Fractional positions:
Mo1 0.2206 0.2264 0.0094
Mo2 0.2206 0.2736 0.5094
Mo3 0.7794 0.7264 0.4906
Mo4 0.7794 0.7736 0.9906
P1 0.0432 0.5906 0.2941
P2 0.0432 0.9094 0.7941
P3 0.4355 0.0364 0.7955
P4 0.4355 0.4636 0.2955
P5 0.5645 0.5364 0.7045
P6 0.5645 0.9636 0.2045
P7 0.9568 0.0906 0.2059
P8 0.9568 0.4094 0.7059
O1 0.0005 0.2308 0.1185
O2 0.0005 0.2692 0.6185
O3 0.0334 0.0726 0.8681
O4 0.0334 0.4274 0.3681
O5 0.0886 0.0935 0.3649
O6 0.0886 0.4065 0.8649
O7 0.2737 0.6052 0.2933
O8 0.2737 0.8948 0.7933
O9 0.3607 0.0527 0.1551
O10 0.3607 0.4473 0.6551
O11 0.3972 0.1012 0.6416
O12 0.3972 0.3988 0.1416
O13 0.4255 0.1723 0.8989
O14 0.4255 0.3277 0.3989
O15 0.5745 0.6723 0.6011
O16 0.5745 0.8277 0.1011
O17 0.6028 0.6012 0.8584
O18 0.6028 0.8988 0.3584
O19 0.6393 0.5527 0.3449
O20 0.6393 0.9473 0.8449
O21 0.7263 0.1052 0.2067
O22 0.7263 0.3948 0.7067
O23 0.9114 0.5935 0.1351
O24 0.9114 0.9065 0.6351
O25 0.9666 0.5726 0.6319
O26 0.9666 0.9274 0.1319
O27 0.9995 0.7308 0.3815
O28 0.9995 0.7692 0.8815